MgCd2In5: theoretical powder X-ray diffraction pattern (Cu Ka), based on the GGA-PBE geometry in Alexandria.
Neutral-atom scattering factors, no anomalous dispersion.

```
data_MgCd2In5
_cell_length_a 8.1174
_cell_length_b 8.1174
_cell_length_c 12.5875
_cell_angle_alpha 90.00
_cell_angle_beta 90.00
_cell_angle_gamma 90.00
_symmetry_space_group_name_H-M 'I 4/m c m'
_symmetry_Int_Tables_number 140
_symmetry_space_group_name_Hall '-I 4 2c'
loop_
_atom_site_label
_atom_site_type_symbol
_atom_site_fract_x
_atom_site_fract_y
_atom_site_fract_z
Mg1 Mg 0.0000 0.0000 0.2500
Cd1 Cd 0.1397 0.3603 0.0000
In1 In 0.0000 0.0000 0.0000
In2 In 0.1539 0.3461 0.3377
```

The 8 most intense peaks (2θ = 15–90°), low angle first:
(hkl), two_theta, d/Å, I (rel.)
2 1 3, 32.62, 2.745, 100.0
3 1 0, 34.95, 2.567, 40.9
0 0 6, 43.12, 2.098, 12.3
3 3 0, 47.52, 1.913, 6.7
4 1 3, 51.26, 1.782, 9.6
3 1 6, 56.66, 1.624, 15.6
5 2 3, 65.84, 1.419, 18.2
2 1 9, 72.41, 1.305, 9.5